This entry pairs a crystal structure of Li2CrC2O6 with its theoretical PXRD pattern. Radiation: Cu Kα X-rays. Structure: a GGA+U-relaxed structure.

Structural model:
```
data_Li2CrC2O6
_space_group_name_H-M_alt 'F d d 2'
_space_group_IT_number 43
_space_group_name_Hall 'F 2 -2d'
_cell_length_a 11.9722
_cell_length_b 16.3789
_cell_length_c 5.4506
_cell_angle_alpha 90.00
_cell_angle_beta 90.00
_cell_angle_gamma 90.00
loop_
_atom_site_label
_atom_site_type_symbol
_atom_site_fract_x
_atom_site_fract_y
_atom_site_fract_z
Li1 Li 0.0327 0.3394 0.0000
Cr1 Cr 0.0000 0.0000 0.9811
C1 C 0.0409 0.1510 0.0225
O1 O 0.0166 0.1015 0.2048
O2 O 0.0418 0.1156 0.8042
O3 O 0.0653 0.2252 0.0569
```

Main lines, in order of falling intensity (2θ from 10° to 90°):
d (Å)  2theta  I_rel  hkl
4.748  18.69  100.0  1 1 1
3.159  28.25  37.9  3 1 1
2.993  29.85  27.4  4 0 0
2.121  42.62  22.0  2 4 2
4.833  18.36  14.8  2 2 0
2.811  31.83  13.3  4 2 0
1.622  56.76  11.8  4 6 2
2.734  32.76  10.4  1 5 1
2.173  41.56  9.4  5 1 1
1.929  47.12  9.2  0 6 2
1.583  58.27  8.1  3 3 3
1.708  53.67  7.9  1 9 1